Theoretical XRD peak list of MgHg2Bi4O12 for Cu Kα, from a GGA-PBE-relaxed structure.

Structural model:
```
data_MgHg2Bi4O12
_cell_length_a 5.336
_cell_length_b 5.336
_cell_length_c 10.418
_cell_angle_alpha 90.00
_cell_angle_beta 90.00
_cell_angle_gamma 90.00
_space_group_name_H-M_alt 'P -4'
_space_group_IT_number 81
loop_
_space_group_symop_operation_xyz
'x,y,z'
'y,-x,-z'
'-x,-y,z'
'-y,x,-z'
loop_
_atom_site_label
_atom_site_fract_x
_atom_site_fract_y
_atom_site_fract_z
Mg1 0.000 0.000 0.000
Hg1 0.000 0.500 0.253
Bi1 0.000 0.500 0.573
Bi2 0.000 0.500 0.899
O1 0.180 0.310 0.743
O2 0.192 0.281 0.067
O3 0.204 0.296 0.425
```

Principal peaks in the range 10° ≤ 2θ ≤ 90°, low angle first:
two_theta, I_rel, index
23.6, 100.0, 1 1 0
30.7, 89.6, 1 0 3
33.6, 33.2, 2 0 0
46.2, 72.1, 1 2 3
48.2, 19.1, 2 2 0
54.4, 19.6, 3 1 0
58.3, 20.7, 3 0 3
58.5, 15.5, 1 1 6
69.0, 17.9, 2 3 3
78.9, 14.4, 4 1 3

Theoretical XRD peak list of Rb2LiPuCl4O2 for Cu Kα, from a GGA-PBE-relaxed structure.

Structural model:
```
data_Rb2LiPuCl4O2
_cell_length_a 13.596
_cell_length_b 7.524
_cell_length_c 5.611
_cell_angle_alpha 90.00
_cell_angle_beta 105.73
_cell_angle_gamma 90.00
_space_group_name_H-M_alt 'C 1 2/m 1'
_space_group_IT_number 12
loop_
_space_group_symop_operation_xyz
'x,y,z'
'-x,-y,-z'
'-x,y,-z'
'x,-y,z'
'x+1/2,y+1/2,z'
'-x+1/2,-y+1/2,-z'
'-x+1/2,y+1/2,-z'
'x+1/2,-y+1/2,z'
loop_
_atom_site_label
_atom_site_fract_x
_atom_site_fract_y
_atom_site_fract_z
Rb1 0.225 0.000 0.272
Li1 0.000 0.000 0.500
Pu1 0.000 0.500 0.000
Cl1 0.092 0.229 0.783
O1 0.117 0.500 0.250
```

Principal peaks in the range 10° ≤ 2θ ≤ 90°, low angle first:
two_theta, I_rel, index
13.6, 100.0, 1 1 0
16.4, 34.7, 0 0 1
22.7, 82.8, 1 1 1
23.6, 69.9, 0 2 0
24.0, 24.7, 2 0 1
25.4, 83.5, 3 1 -1
30.0, 61.5, 2 2 -1
36.4, 36.1, 4 2 0
40.4, 30.7, 2 2 -2
41.0, 23.5, 1 3 1

Theoretical XRD peak list of NaSbO3 for Cu Kα, from a GGA-PBE-relaxed structure.

Structural model:
abc: 10.386 10.386 10.386
angles: 90.00 90.00 90.00
Space group Fd-3m (No. 227, origin choice 2)
One atom of each set of equivalent atoms:
Na 0.000 0.000 0.000 (multiplicity 16)
Sb 0.000 0.000 0.500 (multiplicity 16)
O 0.078 0.375 0.875 (multiplicity 48)

Principal peaks in the range 10° ≤ 2θ ≤ 90°, low angle first:
two_theta, I_rel, index
14.8, 90.2, 1 1 1
28.5, 40.4, 3 1 1
29.8, 100.0, 2 2 2
34.5, 26.6, 4 0 0
45.4, 12.2, 3 3 3
49.7, 48.9, 4 4 0
52.1, 16.8, 5 3 1
59.0, 41.2, 6 2 2
80.6, 16.2, 6 6 2
83.2, 13.5, 8 4 0

Theoretical XRD peak list of Li3Cu3P2O8 for Cu Kα, from a GGA-PBE-relaxed structure.

Structural model:
```
data_Li3Cu3P2O8
_cell_length_a 5.449
_cell_length_b 6.223
_cell_length_c 10.199
_cell_angle_alpha 89.95
_cell_angle_beta 89.90
_cell_angle_gamma 89.49
_space_group_name_H-M_alt 'P 1'
_space_group_IT_number 1
loop_
_space_group_symop_operation_xyz
'x,y,z'
loop_
_atom_site_label
_atom_site_fract_x
_atom_site_fract_y
_atom_site_fract_z
Li1 0.000 0.000 0.000
Li2 0.001 0.999 0.501
Li3 0.174 0.251 0.250
Li4 0.517 0.254 0.001
Li5 0.521 0.255 0.500
Li6 0.694 0.501 0.751
Cu1 0.179 0.753 0.248
Cu2 0.188 0.760 0.748
Cu3 0.189 0.241 0.745
Cu4 0.509 0.744 0.003
Cu5 0.513 0.739 0.501
Cu6 0.665 0.502 0.250
P1 0.018 0.494 0.997
P2 0.022 0.493 0.498
P3 0.675 0.005 0.748
P4 0.677 0.011 0.248
O1 0.012 0.496 0.845
O2 0.024 0.490 0.345
O3 0.139 0.709 0.045
O4 0.144 0.707 0.545
O5 0.163 0.295 0.051
O6 0.168 0.290 0.545
O7 0.525 0.206 0.303
O8 0.543 0.209 0.805
O9 0.547 0.793 0.794
O10 0.547 0.803 0.298
O11 0.678 0.014 0.095
O12 0.681 0.013 0.596
O13 0.746 0.486 0.046
O14 0.755 0.486 0.553
O15 0.939 0.001 0.808
O16 0.944 0.017 0.303
```

Principal peaks in the range 10° ≤ 2θ ≤ 90°, low angle first:
two_theta, I_rel, index
14.2, 79.6, 0 1 0
18.5, 39.5, 1 0 1
27.8, 37.9, 1 1 2
32.9, 53.0, 2 0 0
33.0, 62.8, 1 2 0
33.3, 48.6, 1 -2 0
35.2, 100.0, 0 0 4
37.4, 65.0, 2 0 2
37.6, 58.5, 1 2 -2
37.8, 69.2, -1 2 2

Theoretical XRD peak list of PAuClF3 for Cu Kα, from a GGA-PBE-relaxed structure.

Structural model:
```
data_PAuClF3
_cell_length_a 18.786
_cell_length_b 5.657
_cell_length_c 4.941
_cell_angle_alpha 90.00
_cell_angle_beta 90.00
_cell_angle_gamma 90.00
_space_group_name_H-M_alt 'P n m a'
_space_group_IT_number 62
loop_
_space_group_symop_operation_xyz
'x,y,z'
'-x,-y,-z'
'-x+1/2,-y,z+1/2'
'x+1/2,y,-z+1/2'
'x+1/2,-y+1/2,-z+1/2'
'-x+1/2,y+1/2,z+1/2'
'-x,y+1/2,-z'
'x,-y+1/2,z'
loop_
_atom_site_label
_atom_site_fract_x
_atom_site_fract_y
_atom_site_fract_z
P1 0.146 0.250 0.026
Au1 0.034 0.250 0.158
Cl1 0.078 0.750 0.654
F1 0.168 0.250 0.720
F2 0.193 0.039 0.129
```

Principal peaks in the range 10° ≤ 2θ ≤ 90°, low angle first:
two_theta, I_rel, index
18.3, 43.2, 2 1 0
18.6, 48.2, 1 0 1
23.9, 72.2, 0 1 1
25.7, 100.0, 2 1 1
31.6, 31.7, 0 2 0
33.1, 39.4, 2 2 0
33.9, 35.8, 6 0 1
40.1, 28.2, 1 1 2
41.5, 29.8, 4 2 1
41.6, 32.7, 8 1 0

Theoretical XRD peak list of Tb4MgRh for Cu Kα, from a GGA-PBE-relaxed structure.

Structural model:
```
data_Tb4MgRh
_cell_length_a 13.768
_cell_length_b 13.768
_cell_length_c 13.768
_cell_angle_alpha 90.00
_cell_angle_beta 90.00
_cell_angle_gamma 90.00
_space_group_name_H-M_alt 'F -4 3 m'
_space_group_IT_number 216
_space_group_name_Hall 'F -4 2 3'
loop_
_atom_site_label
_atom_site_fract_x
_atom_site_fract_y
_atom_site_fract_z
Tb1 0.000 0.000 0.185
Tb2 0.063 0.250 0.750
Tb3 0.098 0.098 0.402
Mg1 0.170 0.170 0.170
Rh1 0.108 0.108 0.608
```

Principal peaks in the range 10° ≤ 2θ ≤ 90°, low angle first:
two_theta, I_rel, index
11.1, 21.1, 1 1 1
28.3, 44.7, 3 3 1
31.8, 54.8, 4 2 2
33.8, 100.0, 5 1 1
36.9, 32.0, 4 4 0
54.6, 14.2, 7 3 3
56.7, 51.1, 6 6 0
58.0, 14.9, 5 5 5
85.5, 16.0, 11 5 1
87.3, 15.8, 10 6 4

Theoretical XRD peak list of Ca3Sn2S7 for Cu Kα, from a GGA-PBE-relaxed structure.

Structural model:
```
data_Ca3Sn2S7
_cell_length_a 10.522
_cell_length_b 6.614
_cell_length_c 17.487
_cell_angle_alpha 90.00
_cell_angle_beta 97.77
_cell_angle_gamma 90.00
_space_group_name_H-M_alt 'P 1 21/c 1'
_space_group_IT_number 14
loop_
_space_group_symop_operation_xyz
'x,y,z'
'-x,-y,-z'
'-x,y+1/2,-z+1/2'
'x,-y+1/2,z+1/2'
loop_
_atom_site_label
_atom_site_fract_x
_atom_site_fract_y
_atom_site_fract_z
Ca1 0.009 0.216 0.118
Ca2 0.248 0.233 0.829
Ca3 0.460 0.225 0.622
Sn1 0.227 0.702 0.202
Sn2 0.291 0.701 0.499
S1 0.049 0.521 0.243
S2 0.151 0.082 0.967
S3 0.177 0.553 0.070
S4 0.247 0.059 0.181
S5 0.266 0.641 0.871
S6 0.418 0.516 0.252
S7 0.487 0.236 0.952
```

Principal peaks in the range 10° ≤ 2θ ≤ 90°, low angle first:
two_theta, I_rel, index
15.9, 100.0, 1 1 0
17.0, 60.6, 2 0 0
25.1, 88.6, 2 1 2
27.0, 33.4, 0 2 0
28.4, 38.2, 2 1 -4
29.0, 37.2, 3 1 0
32.1, 32.3, 2 2 -1
33.9, 39.3, 0 1 6
34.4, 33.2, 4 0 0
52.2, 24.9, 6 0 -2

Q: Which formula does entry 3 have?
A: NaSbO3